(1)
The following is a calculated X-ray diffraction stick pattern of Pm3TmGe4. It was derived from a GGA-PBE-relaxed structure, using Cu Ka.
Intensities are scaled so that the largest is 100.

Structural model:
```
data_Pm3TmGe4
_symmetry_space_group_name_H-M 'P 1'
_symmetry_Int_Tables_number 1
_cell_length_a 5.965
_cell_length_b 11.984
_cell_length_c 5.964
_cell_angle_alpha 90.00
_cell_angle_beta 90.00
_cell_angle_gamma 90.00
loop_
_symmetry_equiv_pos_as_xyz
'x,y,z'
loop_
_atom_site_label
_atom_site_type_symbol
_atom_site_fract_x
_atom_site_fract_y
_atom_site_fract_z
Pm1 Pm 0.250 0.000 0.249
Pm2 Pm 0.250 0.250 0.747
Pm3 Pm 0.250 0.500 0.249
Pm4 Pm 0.750 0.000 0.751
Pm5 Pm 0.750 0.500 0.751
Pm6 Pm 0.750 0.750 0.253
Tm1 Tm 0.250 0.750 0.752
Tm2 Tm 0.750 0.250 0.248
Ge1 Ge 0.250 0.250 0.247
Ge2 Ge 0.250 0.505 0.749
Ge3 Ge 0.250 0.750 0.253
Ge4 Ge 0.250 0.995 0.749
Ge5 Ge 0.750 0.005 0.251
Ge6 Ge 0.750 0.250 0.747
Ge7 Ge 0.750 0.495 0.251
Ge8 Ge 0.750 0.750 0.753
```

Largest 6 diffraction maxima, sorted by position, 2θ = 5–70°:
d 3.449, rel. 33
d 2.996, rel. 51
d 2.982, rel. 100
d 2.114, rel. 75
d 2.109, rel. 38
d 1.724, rel. 40



(2)
The following is a calculated X-ray diffraction stick pattern of Pm3Tm4Ge4. It was derived from a GGA-PBE-relaxed structure, using Cu Ka.
Intensities are scaled so that the largest is 100.

Structural model:
```
data_Pm3Tm4Ge4
_symmetry_space_group_name_H-M 'P 1'
_symmetry_Int_Tables_number 1
_cell_length_a 9.342
_cell_length_b 9.342
_cell_length_c 9.342
_cell_angle_alpha 154.76
_cell_angle_beta 123.48
_cell_angle_gamma 62.85
loop_
_symmetry_equiv_pos_as_xyz
'x,y,z'
loop_
_atom_site_label
_atom_site_type_symbol
_atom_site_fract_x
_atom_site_fract_y
_atom_site_fract_z
Pm1 Pm 0.000 0.000 0.000
Pm2 Pm 0.394 0.894 0.500
Pm3 Pm 0.606 0.106 0.500
Tm1 Tm 0.021 0.329 0.692
Tm2 Tm 0.363 0.671 0.692
Tm3 Tm 0.637 0.329 0.308
Tm4 Tm 0.979 0.671 0.308
Ge1 Ge 0.248 0.248 0.000
Ge2 Ge 0.284 0.500 0.784
Ge3 Ge 0.716 0.500 0.216
Ge4 Ge 0.752 0.752 0.000
```

Largest 6 diffraction maxima, sorted by position, 2θ = 5–70°:
d 3.237, rel. 32
d 2.948, rel. 100
d 2.714, rel. 66
d 2.578, rel. 55
d 2.278, rel. 29
d 2.041, rel. 31



(3)
The following is a calculated X-ray diffraction stick pattern of PmTm4Ge4. It was derived from a GGA-PBE-relaxed structure, using Cu Ka.
Intensities are scaled so that the largest is 100.

Structural model:
```
data_PmTm4Ge4
_symmetry_space_group_name_H-M 'P 1'
_symmetry_Int_Tables_number 1
_cell_length_a 9.214
_cell_length_b 9.214
_cell_length_c 5.717
_cell_angle_alpha 90.00
_cell_angle_beta 90.00
_cell_angle_gamma 90.00
loop_
_symmetry_equiv_pos_as_xyz
'x,y,z'
loop_
_atom_site_label
_atom_site_type_symbol
_atom_site_fract_x
_atom_site_fract_y
_atom_site_fract_z
Pm1 Pm 0.250 0.250 0.250
Pm2 Pm 0.750 0.750 0.750
Tm1 Tm 0.095 0.644 0.138
Tm2 Tm 0.144 0.905 0.638
Tm3 Tm 0.356 0.595 0.638
Tm4 Tm 0.405 0.856 0.138
Tm5 Tm 0.595 0.144 0.862
Tm6 Tm 0.644 0.405 0.362
Tm7 Tm 0.856 0.095 0.362
Tm8 Tm 0.905 0.356 0.862
Ge1 Ge 0.041 0.606 0.645
Ge2 Ge 0.106 0.959 0.145
Ge3 Ge 0.394 0.541 0.145
Ge4 Ge 0.459 0.894 0.645
Ge5 Ge 0.541 0.106 0.355
Ge6 Ge 0.606 0.459 0.855
Ge7 Ge 0.894 0.041 0.855
Ge8 Ge 0.959 0.394 0.355
```

Largest 6 diffraction maxima, sorted by position, 2θ = 5–70°:
d 6.515, rel. 29
d 3.343, rel. 47
d 2.914, rel. 100
d 2.730, rel. 59
d 2.333, rel. 28
d 2.092, rel. 41



(4)
The following is a calculated X-ray diffraction stick pattern of PmY2Ge2. It was derived from a GGA-PBE-relaxed structure, using Cu Ka.
Intensities are scaled so that the largest is 100.

Structural model:
```
data_PmY2Ge2
_symmetry_space_group_name_H-M 'P 1'
_symmetry_Int_Tables_number 1
_cell_length_a 9.543
_cell_length_b 9.543
_cell_length_c 6.317
_cell_angle_alpha 90.00
_cell_angle_beta 90.00
_cell_angle_gamma 152.68
loop_
_symmetry_equiv_pos_as_xyz
'x,y,z'
loop_
_atom_site_label
_atom_site_type_symbol
_atom_site_fract_x
_atom_site_fract_y
_atom_site_fract_z
Pm1 Pm 0.113 0.887 0.500
Pm2 Pm 0.887 0.113 0.000
Y1 Y 0.314 0.686 0.475
Y2 Y 0.492 0.508 0.741
Y3 Y 0.508 0.492 0.241
Y4 Y 0.686 0.314 0.975
Ge1 Ge 0.070 0.930 0.987
Ge2 Ge 0.294 0.706 0.955
Ge3 Ge 0.706 0.294 0.455
Ge4 Ge 0.930 0.070 0.487
```

Largest 6 diffraction maxima, sorted by position, 2θ = 5–70°:
d 3.158, rel. 37
d 2.864, rel. 100
d 2.609, rel. 45
d 2.562, rel. 38
d 2.254, rel. 32
d 2.122, rel. 27



(5)
The following is a calculated X-ray diffraction stick pattern of Pm2YZn2Ge2. It was derived from a GGA-PBE-relaxed structure, using Cu Ka.
Intensities are scaled so that the largest is 100.

Structural model:
```
data_Pm2YZn2Ge2
_symmetry_space_group_name_H-M 'P 1'
_symmetry_Int_Tables_number 1
_cell_length_a 11.595
_cell_length_b 11.595
_cell_length_c 11.595
_cell_angle_alpha 20.70
_cell_angle_beta 20.70
_cell_angle_gamma 20.70
loop_
_symmetry_equiv_pos_as_xyz
'x,y,z'
loop_
_atom_site_label
_atom_site_type_symbol
_atom_site_fract_x
_atom_site_fract_y
_atom_site_fract_z
Pm1 Pm 0.122 0.122 0.122
Pm2 Pm 0.878 0.878 0.878
Y1 Y 0.000 0.000 0.000
Zn1 Zn 0.393 0.393 0.393
Zn2 Zn 0.607 0.607 0.607
Ge1 Ge 0.273 0.273 0.273
Ge2 Ge 0.727 0.727 0.727
```

Largest 6 diffraction maxima, sorted by position, 2θ = 5–70°:
d 3.322, rel. 24
d 2.898, rel. 62
d 2.752, rel. 100
d 2.083, rel. 73
d 1.661, rel. 22
d 1.534, rel. 24



(6)
The following is a calculated X-ray diffraction stick pattern of PmZnGe2. It was derived from a GGA-PBE-relaxed structure, using Cu Ka.
Intensities are scaled so that the largest is 100.

Structural model:
```
data_PmZnGe2
_symmetry_space_group_name_H-M 'P 1'
_symmetry_Int_Tables_number 1
_cell_length_a 3.564
_cell_length_b 3.564
_cell_length_c 6.482
_cell_angle_alpha 90.00
_cell_angle_beta 90.00
_cell_angle_gamma 90.00
loop_
_symmetry_equiv_pos_as_xyz
'x,y,z'
loop_
_atom_site_label
_atom_site_type_symbol
_atom_site_fract_x
_atom_site_fract_y
_atom_site_fract_z
Pm1 Pm 0.000 0.000 0.000
Zn1 Zn 0.000 0.000 0.500
Ge1 Ge 0.500 0.500 0.301
Ge2 Ge 0.500 0.500 0.699
```

Largest 6 diffraction maxima, sorted by position, 2θ = 5–70°:
d 3.123, rel. 27
d 2.520, rel. 68
d 2.398, rel. 100
d 1.782, rel. 24
d 1.640, rel. 11
d 1.430, rel. 38



(7)
The following is a calculated X-ray diffraction stick pattern of Pm8Zn2Ge. It was derived from a GGA-PBE-relaxed structure, using Cu Ka.
Intensities are scaled so that the largest is 100.

Structural model:
```
data_Pm8Zn2Ge
_symmetry_space_group_name_H-M 'P 1'
_symmetry_Int_Tables_number 1
_cell_length_a 9.545
_cell_length_b 9.545
_cell_length_c 7.057
_cell_angle_alpha 106.00
_cell_angle_beta 106.00
_cell_angle_gamma 31.31
loop_
_symmetry_equiv_pos_as_xyz
'x,y,z'
loop_
_atom_site_label
_atom_site_type_symbol
_atom_site_fract_x
_atom_site_fract_y
_atom_site_fract_z
Pm1 Pm 0.023 0.023 0.274
Pm2 Pm 0.202 0.202 0.820
Pm3 Pm 0.334 0.334 0.528
Pm4 Pm 0.409 0.409 0.046
Pm5 Pm 0.591 0.591 0.954
Pm6 Pm 0.666 0.666 0.472
Pm7 Pm 0.798 0.798 0.180
Pm8 Pm 0.977 0.977 0.726
Zn1 Zn 0.181 0.181 0.221
Zn2 Zn 0.819 0.819 0.779
Ge1 Ge 0.500 0.500 0.500
```

Largest 6 diffraction maxima, sorted by position, 2θ = 5–70°:
d 3.116, rel. 46
d 2.935, rel. 62
d 2.904, rel. 100
d 2.692, rel. 45
d 2.576, rel. 60
d 2.518, rel. 22



(8)
The following is a calculated X-ray diffraction stick pattern of Pm3Zn2Ge3. It was derived from a GGA-PBE-relaxed structure, using Cu Ka.
Intensities are scaled so that the largest is 100.

Structural model:
```
data_Pm3Zn2Ge3
_symmetry_space_group_name_H-M 'P 1'
_symmetry_Int_Tables_number 1
_cell_length_a 6.028
_cell_length_b 6.028
_cell_length_c 14.643
_cell_angle_alpha 90.00
_cell_angle_beta 90.00
_cell_angle_gamma 138.30
loop_
_symmetry_equiv_pos_as_xyz
'x,y,z'
loop_
_atom_site_label
_atom_site_type_symbol
_atom_site_fract_x
_atom_site_fract_y
_atom_site_fract_z
Pm1 Pm 0.071 0.929 0.612
Pm2 Pm 0.071 0.929 0.888
Pm3 Pm 0.357 0.643 0.750
Pm4 Pm 0.643 0.357 0.250
Pm5 Pm 0.929 0.071 0.112
Pm6 Pm 0.929 0.071 0.388
Zn1 Zn 0.227 0.773 0.096
Zn2 Zn 0.227 0.773 0.404
Zn3 Zn 0.773 0.227 0.596
Zn4 Zn 0.773 0.227 0.904
Ge1 Ge 0.355 0.645 0.250
Ge2 Ge 0.379 0.621 0.544
Ge3 Ge 0.379 0.621 0.956
Ge4 Ge 0.621 0.379 0.044
Ge5 Ge 0.621 0.379 0.456
Ge6 Ge 0.645 0.355 0.750
```

Largest 6 diffraction maxima, sorted by position, 2θ = 5–70°:
d 2.826, rel. 25
d 2.775, rel. 54
d 2.704, rel. 98
d 2.444, rel. 100
d 2.145, rel. 40
d 1.507, rel. 25



(9)
The following is a calculated X-ray diffraction stick pattern of Pm2ZnGe5. It was derived from a GGA-PBE-relaxed structure, using Cu Ka.
Intensities are scaled so that the largest is 100.

Structural model:
```
data_Pm2ZnGe5
_symmetry_space_group_name_H-M 'P 1'
_symmetry_Int_Tables_number 1
_cell_length_a 8.737
_cell_length_b 8.790
_cell_length_c 6.198
_cell_angle_alpha 90.00
_cell_angle_beta 134.60
_cell_angle_gamma 90.00
loop_
_symmetry_equiv_pos_as_xyz
'x,y,z'
loop_
_atom_site_label
_atom_site_type_symbol
_atom_site_fract_x
_atom_site_fract_y
_atom_site_fract_z
Pm1 Pm 0.000 0.250 0.000
Pm2 Pm 0.000 0.750 0.000
Pm3 Pm 0.500 0.250 0.000
Pm4 Pm 0.500 0.750 0.000
Zn1 Zn 0.174 0.000 0.849
Zn2 Zn 0.674 0.500 0.849
Ge1 Ge 0.215 0.500 0.930
Ge2 Ge 0.227 0.500 0.494
Ge3 Ge 0.266 0.000 0.494
Ge4 Ge 0.497 0.230 0.494
Ge5 Ge 0.497 0.770 0.494
Ge6 Ge 0.715 0.000 0.930
Ge7 Ge 0.727 0.000 0.494
Ge8 Ge 0.766 0.500 0.494
Ge9 Ge 0.997 0.270 0.494
Ge10 Ge 0.997 0.730 0.494
```

Largest 6 diffraction maxima, sorted by position, 2θ = 5–70°:
d 2.536, rel. 100
d 2.206, rel. 14
d 2.197, rel. 17
d 2.184, rel. 17
d 1.556, rel. 13
d 1.549, rel. 15



(10)
The following is a calculated X-ray diffraction stick pattern of Pm4Zn5Ge6. It was derived from a GGA-PBE-relaxed structure, using Cu Ka.
Intensities are scaled so that the largest is 100.

Structural model:
```
data_Pm4Zn5Ge6
_symmetry_space_group_name_H-M 'P 1'
_symmetry_Int_Tables_number 1
_cell_length_a 9.687
_cell_length_b 9.687
_cell_length_c 15.628
_cell_angle_alpha 90.00
_cell_angle_beta 90.00
_cell_angle_gamma 154.26
loop_
_symmetry_equiv_pos_as_xyz
'x,y,z'
loop_
_atom_site_label
_atom_site_type_symbol
_atom_site_fract_x
_atom_site_fract_y
_atom_site_fract_z
Pm1 Pm 0.020 0.980 0.500
Pm2 Pm 0.032 0.968 0.762
Pm3 Pm 0.169 0.831 0.303
Pm4 Pm 0.176 0.824 0.946
Pm5 Pm 0.824 0.176 0.446
Pm6 Pm 0.831 0.169 0.803
Pm7 Pm 0.968 0.032 0.262
Pm8 Pm 0.980 0.020 0.000
Zn1 Zn 0.151 0.849 0.627
Zn2 Zn 0.300 0.700 0.626
Zn3 Zn 0.345 0.655 0.275
Zn4 Zn 0.350 0.650 0.980
Zn5 Zn 0.433 0.567 0.685
Zn6 Zn 0.567 0.433 0.185
Zn7 Zn 0.650 0.350 0.480
Zn8 Zn 0.655 0.345 0.775
Zn9 Zn 0.700 0.300 0.126
Zn10 Zn 0.849 0.151 0.127
Ge1 Ge 0.112 0.888 0.119
Ge2 Ge 0.220 0.780 0.489
Ge3 Ge 0.225 0.775 0.763
Ge4 Ge 0.432 0.568 0.130
Ge5 Ge 0.432 0.568 0.406
Ge6 Ge 0.440 0.560 0.855
Ge7 Ge 0.560 0.440 0.355
Ge8 Ge 0.568 0.432 0.630
Ge9 Ge 0.568 0.432 0.906
Ge10 Ge 0.775 0.225 0.263
Ge11 Ge 0.780 0.220 0.989
Ge12 Ge 0.888 0.112 0.619
```

Largest 6 diffraction maxima, sorted by position, 2θ = 5–70°:
d 2.863, rel. 43
d 2.842, rel. 32
d 2.797, rel. 34
d 2.605, rel. 26
d 2.495, rel. 100
d 2.158, rel. 58



(11)
The following is a calculated X-ray diffraction stick pattern of Pm2ZrGe6. It was derived from a GGA-PBE-relaxed structure, using Cu Ka.
Intensities are scaled so that the largest is 100.

Structural model:
```
data_Pm2ZrGe6
_symmetry_space_group_name_H-M 'P 1'
_symmetry_Int_Tables_number 1
_cell_length_a 7.933
_cell_length_b 7.933
_cell_length_c 3.962
_cell_angle_alpha 104.34
_cell_angle_beta 104.34
_cell_angle_gamma 70.31
loop_
_symmetry_equiv_pos_as_xyz
'x,y,z'
loop_
_atom_site_label
_atom_site_type_symbol
_atom_site_fract_x
_atom_site_fract_y
_atom_site_fract_z
Pm1 Pm 0.000 0.000 0.000
Pm2 Pm 0.708 0.708 0.708
Zr1 Zr 0.354 0.354 0.354
Ge1 Ge 0.024 0.684 0.354
Ge2 Ge 0.320 0.750 0.536
Ge3 Ge 0.388 0.958 0.175
Ge4 Ge 0.684 0.024 0.354
Ge5 Ge 0.750 0.320 0.536
Ge6 Ge 0.958 0.388 0.175
```

Largest 6 diffraction maxima, sorted by position, 2θ = 5–70°:
d 7.347, rel. 41
d 3.635, rel. 72
d 2.909, rel. 44
d 2.449, rel. 83
d 2.422, rel. 100
d 1.540, rel. 39



(12)
The following is a calculated X-ray diffraction stick pattern of Pm3Zr2Ge3. It was derived from a GGA-PBE-relaxed structure, using Cu Ka.
Intensities are scaled so that the largest is 100.

Structural model:
```
data_Pm3Zr2Ge3
_symmetry_space_group_name_H-M 'P 1'
_symmetry_Int_Tables_number 1
_cell_length_a 8.607
_cell_length_b 8.607
_cell_length_c 5.987
_cell_angle_alpha 90.00
_cell_angle_beta 90.00
_cell_angle_gamma 120.00
loop_
_symmetry_equiv_pos_as_xyz
'x,y,z'
loop_
_atom_site_label
_atom_site_type_symbol
_atom_site_fract_x
_atom_site_fract_y
_atom_site_fract_z
Pm1 Pm 0.000 0.250 0.250
Pm2 Pm 0.000 0.750 0.750
Pm3 Pm 0.250 0.000 0.250
Pm4 Pm 0.250 0.250 0.750
Pm5 Pm 0.750 0.000 0.750
Pm6 Pm 0.750 0.750 0.250
Zr1 Zr 0.333 0.667 0.000
Zr2 Zr 0.333 0.667 0.500
Zr3 Zr 0.667 0.333 0.000
Zr4 Zr 0.667 0.333 0.500
Ge1 Ge 0.000 0.399 0.750
Ge2 Ge 0.000 0.601 0.250
Ge3 Ge 0.399 0.000 0.750
Ge4 Ge 0.399 0.399 0.250
Ge5 Ge 0.601 0.000 0.250
Ge6 Ge 0.601 0.601 0.750
```

Largest 6 diffraction maxima, sorted by position, 2θ = 5–70°:
d 2.993, rel. 19
d 2.817, rel. 28
d 2.549, rel. 100
d 2.485, rel. 32
d 2.457, rel. 55
d 1.628, rel. 32